Entry 1:
# MoS2I2
Theoretical powder diffractogram, Cu Kα X-rays. Input: a cell relaxed with GGA-PBE.
Peak positions follow from Bragg's law for the DFT cell and can differ from measured ones.

Top 6 peaks for 2θ from 10° to 90°, by intensity:
- 12.13 deg, rel. 1000
- 31.59 deg, rel. 776
- 27.30 deg, rel. 518
- 15.09 deg, rel. 393
- 43.29 deg, rel. 381
- 15.35 deg, rel. 372

Structural model:
Cell lengths 6.8870, 6.8870, 8.0392 Å; angles 103.22, 103.22, 113.92 degrees
Sites, in units of the cell vectors:
Mo1 0.1213 0.8787 0.0000
Mo2 0.8787 0.1213 0.0000
S1 0.1201 0.1201 0.2735
S2 0.2897 0.2897 0.1304
S3 0.7103 0.7103 0.8696
S4 0.8799 0.8799 0.7265
I1 0.0433 0.4466 0.7777
I2 0.4466 0.0433 0.7777
I3 0.5534 0.9567 0.2223
I4 0.9567 0.5534 0.2223

***

Entry 2:
# Mg14CoSi
Theoretical powder diffractogram, Cu Kα X-rays. Input: a cell relaxed with GGA-PBE.
Peak positions follow from Bragg's law for the DFT cell and can differ from measured ones.

Top 6 peaks for 2θ from 10° to 90°, by intensity:
- 38.02 deg, rel. 1000
- 35.45 deg, rel. 269
- 33.47 deg, rel. 245
- 71.51 deg, rel. 184
- 65.35 deg, rel. 182
- 59.84 deg, rel. 165

Structural model:
Cell lengths 6.1827, 6.1827, 10.1292 Å; angles 90.00, 90.00, 120.00 degrees
Sites, in units of the cell vectors:
Mg1 0.0000 0.0000 0.2498
Mg2 0.0000 0.0000 0.7502
Mg3 0.0127 0.5064 0.2416
Mg4 0.0127 0.5064 0.7584
Mg5 0.3311 0.1656 0.0000
Mg6 0.3339 0.1669 0.5000
Mg7 0.4936 0.5064 0.2416
Mg8 0.4936 0.5064 0.7584
Mg9 0.4936 0.9873 0.2416
Mg10 0.4936 0.9873 0.7584
Mg11 0.8331 0.1669 0.5000
Mg12 0.8331 0.6661 0.5000
Mg13 0.8344 0.1656 0.0000
Mg14 0.8344 0.6689 0.0000
Co1 0.3333 0.6667 0.0000
Si1 0.3333 0.6667 0.5000